(1)
Calculated XRD peak list
Compound: PrBi3S6
Radiation: λ = 1.5418 Å (Cu Kα)
Structure: a GGA-PBE-relaxed structure
Neutral-atom scattering factors, no anomalous dispersion.

Peak list (8 most intense, 2θ = 15–90°, by angle)
2θ/deg	I_rel	(hkl)
15.5	56	1 0 -2
22.8	97	1 0 -3
25.4	100	2 0 2
27.0	57	2 1 -1
29.6	51	1 1 2
32.6	73	0 1 3
40.8	57	3 1 -4
44.8	38	0 2 0

Structural model:
a = 11.727 Å, b = 4.047 Å, c = 11.727 Å
α = 90.00°, β = 106.71°, γ = 90.00°
Space group P2_1/m (No. 11)
Unique sites:
Pr 0.190 0.250 0.041 (multiplicity 2)
Bi 0.021 0.750 0.304 (multiplicity 2)
Bi 0.335 0.250 0.434 (multiplicity 2)
Bi 0.406 0.750 0.846 (multiplicity 2)
S 0.037 0.750 0.892 (multiplicity 2)
S 0.115 0.250 0.464 (multiplicity 2)
S 0.222 0.750 0.240 (multiplicity 2)
S 0.250 0.250 0.807 (multiplicity 2)
S 0.389 0.750 0.069 (multiplicity 2)
S 0.414 0.750 0.590 (multiplicity 2)

(2)
Calculated XRD peak list
Compound: Al8FeCu2
Radiation: λ = 1.5418 Å (Cu Kα)
Structure: a GGA-PBE-relaxed structure
Neutral-atom scattering factors, no anomalous dispersion.

Peak list (8 most intense, 2θ = 15–90°, by angle)
2θ/deg	I_rel	(hkl)
25.9	55	1 1 0
40.1	16	1 1 4
41.6	100	1 2 3
45.6	26	2 0 0
45.8	22	0 0 6
53.4	17	0 4 0
66.7	13	2 0 6
81.6	13	3 2 3

Structural model:
a = 3.976 Å, b = 6.870 Å, c = 11.873 Å
α = 90.00°, β = 90.00°, γ = 90.00°
Space group Immm (No. 71)
Unique sites:
Al 0.000 0.000 0.143 (multiplicity 4)
Al 0.000 0.230 0.340 (multiplicity 8)
Al 0.000 0.298 0.000 (multiplicity 4)
Fe 0.000 0.500 0.500 (multiplicity 2)
Cu 0.000 0.500 0.182 (multiplicity 4)

(3)
Calculated XRD peak list
Compound: Fe3CuSn2S8
Radiation: λ = 1.5418 Å (Cu Kα)
Structure: a GGA-PBE-relaxed structure
Neutral-atom scattering factors, no anomalous dispersion.

Peak list (8 most intense, 2θ = 15–90°, by angle)
2θ/deg	I_rel	(hkl)
15.3	41	1 0 1
29.2	100	1 2 1
29.4	52	1 0 3
29.5	36	2 1 1
35.6	91	2 2 0
46.8	24	0 1 5
51.3	90	2 2 4
51.8	24	4 0 0

Structural model:
a = 7.060 Å, b = 7.200 Å, c = 10.080 Å
α = 90.00°, β = 90.00°, γ = 90.00°
Space group Imm2 (No. 44)
Unique sites:
Fe 0.000 0.000 0.000 (multiplicity 2)
Fe 0.247 0.000 0.381 (multiplicity 4)
Cu 0.000 0.500 0.265 (multiplicity 2)
Sn 0.000 0.246 0.629 (multiplicity 4)
S 0.000 0.214 0.378 (multiplicity 4)
S 0.000 0.283 0.883 (multiplicity 4)
S 0.239 0.000 0.152 (multiplicity 4)
S 0.241 0.500 0.108 (multiplicity 4)